Record 1
The following is a calculated X-ray diffraction stick pattern of TmSc3Se4. It was derived from DFT lattice parameters and positions (GGA-PBE), using copper Kα.
Neutral-atom scattering factors, no anomalous dispersion.

Cell and atoms:
```
data_TmSc3Se4
_chemical_formula_sum 'Tm2 Sc6 Se8'
_cell_length_a 7.8616
_cell_length_b 11.0670
_cell_length_c 3.8957
_cell_angle_alpha 90.00
_cell_angle_beta 90.00
_cell_angle_gamma 90.00
_space_group_name_H-M_alt 'C m m m'
_space_group_IT_number 65
_space_group_name_Hall '-C 2 2'
loop_
_atom_site_label
_atom_site_fract_x
_atom_site_fract_y
_atom_site_fract_z
Tm1 0.0000 0.0000 0.0000
Sc1 0.0000 0.5000 0.0000
Sc2 0.2500 0.2500 0.5000
Se1 0.0000 0.2534 0.0000
Se2 0.2431 0.5000 0.5000
```

The 12 most intense peaks (10° ≤ 2θ ≤ 90°), by angle:
2θ/deg	intensity
13.82	15
26.75	13
32.36	100
46.19	12
46.41	47
46.63	12
57.52	12
57.90	12
67.73	11
77.07	20
85.75	8
86.39	8

***

Record 2
The following is a calculated X-ray diffraction stick pattern of Sc2USe5. It was derived from DFT lattice parameters and positions (GGA-PBE), using copper Kα.
Neutral-atom scattering factors, no anomalous dispersion.

Cell and atoms:
```
data_Sc2USe5
_chemical_formula_sum 'Sc8 U4 Se20'
_cell_length_a 5.4230
_cell_length_b 13.1582
_cell_length_c 13.7054
_cell_angle_alpha 90.00
_cell_angle_beta 90.00
_cell_angle_gamma 90.00
_space_group_name_H-M_alt 'F m m m'
_space_group_IT_number 69
_space_group_name_Hall '-F 2 2'
loop_
_atom_site_label
_atom_site_fract_x
_atom_site_fract_y
_atom_site_fract_z
Sc1 0.0000 0.0000 0.1909
U1 0.0000 0.0000 0.5000
Se1 0.0000 0.0000 0.0000
Se2 0.0000 0.1285 0.3380
```

The 12 most intense peaks (10° ≤ 2θ ≤ 90°), by angle:
2θ/deg	intensity
13.46	100
18.70	37
18.85	64
29.39	22
30.14	29
32.77	70
33.04	40
37.92	28
39.45	22
43.03	27
45.32	19
51.15	23

***

Record 3
The following is a calculated X-ray diffraction stick pattern of YSc2Se4. It was derived from DFT lattice parameters and positions (GGA-PBE), using copper Kα.
Neutral-atom scattering factors, no anomalous dispersion.

Cell and atoms:
```
data_YSc2Se4
_chemical_formula_sum 'Y1 Sc2 Se4'
_cell_length_a 6.6911
_cell_length_b 3.9229
_cell_length_c 6.8985
_cell_angle_alpha 90.00
_cell_angle_beta 107.87
_cell_angle_gamma 90.00
_space_group_name_H-M_alt 'P 1 2/m 1'
_space_group_IT_number 10
loop_
_space_group_symop_operation_xyz
'x,y,z'
'-x,-y,-z'
'-x,y,-z'
'x,-y,z'
loop_
_atom_site_label
_atom_site_fract_x
_atom_site_fract_y
_atom_site_fract_z
Y1 0.0000 0.0000 0.0000
Sc1 0.0000 0.5000 0.5000
Sc2 0.5000 0.0000 0.5000
Se1 0.2454 0.0000 0.7333
Se2 0.2631 0.5000 0.2577
```

The 12 most intense peaks (10° ≤ 2θ ≤ 90°), by angle:
2θ/deg	intensity
13.91	11
16.14	9
27.98	16
31.96	100
32.62	47
45.36	18
45.76	35
46.29	17
46.86	33
57.77	17
66.81	11
76.65	15

***

Question: Number 2 is which compound?
Answer: Sc2USe5

***

Copy entry 3 word for word.
The following is a calculated X-ray diffraction stick pattern of YSc2Se4. It was derived from DFT lattice parameters and positions (GGA-PBE), using copper Kα.
Neutral-atom scattering factors, no anomalous dispersion.

Cell and atoms:
```
data_YSc2Se4
_chemical_formula_sum 'Y1 Sc2 Se4'
_cell_length_a 6.6911
_cell_length_b 3.9229
_cell_length_c 6.8985
_cell_angle_alpha 90.00
_cell_angle_beta 107.87
_cell_angle_gamma 90.00
_space_group_name_H-M_alt 'P 1 2/m 1'
_space_group_IT_number 10
loop_
_space_group_symop_operation_xyz
'x,y,z'
'-x,-y,-z'
'-x,y,-z'
'x,-y,z'
loop_
_atom_site_label
_atom_site_fract_x
_atom_site_fract_y
_atom_site_fract_z
Y1 0.0000 0.0000 0.0000
Sc1 0.0000 0.5000 0.5000
Sc2 0.5000 0.0000 0.5000
Se1 0.2454 0.0000 0.7333
Se2 0.2631 0.5000 0.2577
```

The 12 most intense peaks (10° ≤ 2θ ≤ 90°), by angle:
2θ/deg	intensity
13.91	11
16.14	9
27.98	16
31.96	100
32.62	47
45.36	18
45.76	35
46.29	17
46.86	33
57.77	17
66.81	11
76.65	15